The following is a computed powder diffraction line list of Li2AcPb. It was derived from DFT lattice parameters and positions (PBE), using Cu Kα (λ = 1.5418 Å).

Cell and atoms:
a b c (Å): 7.3508 7.3508 7.3508
angles (deg): 90.00 90.00 90.00
Atoms (fractional coordinates):
1 Li 0.2500 0.2500 0.2500
2 Li 0.2500 0.2500 0.7500
3 Li 0.2500 0.7500 0.2500
4 Li 0.2500 0.7500 0.7500
5 Li 0.7500 0.2500 0.2500
6 Li 0.7500 0.2500 0.7500
7 Li 0.7500 0.7500 0.2500
8 Li 0.7500 0.7500 0.7500
9 Ac 0.0000 0.0000 0.0000
10 Ac 0.0000 0.5000 0.5000
11 Ac 0.5000 0.0000 0.5000
12 Ac 0.5000 0.5000 0.0000
13 Pb 0.0000 0.0000 0.5000
14 Pb 0.0000 0.5000 0.0000
15 Pb 0.5000 0.0000 0.0000
16 Pb 0.5000 0.5000 0.5000

Top 10 peaks for 10° ≤ 2θ ≤ 90°, by angle:
- 24.22 deg, I 1000
- 34.51 deg, I 909
- 42.61 deg, I 312
- 49.61 deg, I 167
- 55.94 deg, I 427
- 61.83 deg, I 350
- 72.78 deg, I 110
- 77.99 deg, I 209
- 83.10 deg, I 158
- 88.16 deg, I 129

The following is a computed powder diffraction line list of MgGaAu. It was derived from DFT lattice parameters and positions (PBE), using Cu Kα (λ = 1.5418 Å).

Cell and atoms:
a b c (Å): 7.5001 7.5001 3.4102
angles (deg): 90.00 90.00 120.00
Atoms (fractional coordinates):
1 Mg 0.0000 0.6165 0.0000
2 Mg 0.3835 0.3835 0.0000
3 Mg 0.6165 0.0000 0.0000
4 Ga 0.0000 0.2818 0.5000
5 Ga 0.2818 0.0000 0.5000
6 Ga 0.7182 0.7182 0.5000
7 Au 0.0000 0.0000 0.0000
8 Au 0.3333 0.6667 0.5000
9 Au 0.6667 0.3333 0.5000

Top 10 peaks for 10° ≤ 2θ ≤ 90°, by angle:
- 23.73 deg, I 1000
- 29.59 deg, I 600
- 35.58 deg, I 236
- 38.27 deg, I 638
- 41.72 deg, I 681
- 45.53 deg, I 640
- 59.56 deg, I 171
- 65.90 deg, I 169
- 68.75 deg, I 276
- 70.27 deg, I 292

The following is a computed powder diffraction line list of KHg3. It was derived from DFT lattice parameters and positions (PBE), using Cu Kα (λ = 1.5418 Å).

Cell and atoms:
a b c (Å): 7.1505 7.1505 5.7681
angles (deg): 90.00 90.00 120.00
Atoms (fractional coordinates):
1 K 0.3333 0.6667 0.2500
2 K 0.6667 0.3333 0.7500
3 Hg 0.1561 0.3121 0.7500
4 Hg 0.1561 0.8439 0.7500
5 Hg 0.3121 0.1561 0.2500
6 Hg 0.6879 0.8439 0.7500
7 Hg 0.8439 0.1561 0.2500
8 Hg 0.8439 0.6879 0.2500

Top 10 peaks for 10° ≤ 2θ ≤ 90°, by angle:
- 14.30 deg, I 181
- 28.83 deg, I 232
- 31.01 deg, I 266
- 32.83 deg, I 1000
- 41.64 deg, I 125
- 42.85 deg, I 161
- 51.09 deg, I 181
- 56.33 deg, I 217
- 60.98 deg, I 213
- 62.07 deg, I 146

The following is a computed powder diffraction line list of Ag3BiBr6. It was derived from DFT lattice parameters and positions (PBE), using Cu Kα (λ = 1.5418 Å).

Cell and atoms:
a b c (Å): 7.9052 7.9052 7.9052
angles (deg): 60.00 60.00 60.00
Atoms (fractional coordinates):
1 Ag 0.0000 0.0000 0.0000
2 Ag 0.2500 0.2500 0.2500
3 Ag 0.7500 0.7500 0.7500
4 Bi 0.5000 0.5000 0.5000
5 Br 0.2464 0.2464 0.7536
6 Br 0.2464 0.7536 0.2464
7 Br 0.2464 0.7536 0.7536
8 Br 0.7536 0.2464 0.2464
9 Br 0.7536 0.2464 0.7536
10 Br 0.7536 0.7536 0.2464

Top 10 peaks for 10° ≤ 2θ ≤ 90°, by angle:
- 15.85 deg, I 335
- 22.49 deg, I 645
- 27.64 deg, I 296
- 32.02 deg, I 1000
- 35.92 deg, I 181
- 39.49 deg, I 305
- 45.92 deg, I 720
- 57.08 deg, I 247
- 76.16 deg, I 316
- 85.01 deg, I 243

The following is a computed powder diffraction line list of Ce2Si2NiPt. It was derived from DFT lattice parameters and positions (PBE), using Cu Kα (λ = 1.5418 Å).

Cell and atoms:
a b c (Å): 3.9807 4.1563 14.3984
angles (deg): 90.00 90.00 90.00
Atoms (fractional coordinates):
1 Ce 0.0000 0.0000 0.0000
2 Ce 0.0000 0.5000 0.2547
3 Ce 0.5000 0.0000 0.7547
4 Ce 0.5000 0.5000 0.5000
5 Si 0.0000 0.0000 0.5777
6 Si 0.0000 0.5000 0.8392
7 Si 0.5000 0.0000 0.3392
8 Si 0.5000 0.5000 0.0777
9 Ni 0.0000 0.0000 0.4174
10 Ni 0.5000 0.5000 0.9174
11 Pt 0.0000 0.5000 0.6676
12 Pt 0.5000 0.0000 0.1676

Top 10 peaks for 10° ≤ 2θ ≤ 90°, by angle:
- 12.29 deg, I 153
- 22.26 deg, I 154
- 29.15 deg, I 352
- 33.57 deg, I 1000
- 38.01 deg, I 335
- 38.59 deg, I 202
- 43.55 deg, I 195
- 45.58 deg, I 171
- 60.79 deg, I 188
- 73.57 deg, I 205

The following is a computed powder diffraction line list of LiMg14CO16. It was derived from DFT lattice parameters and positions (PBE), using Cu Kα (λ = 1.5418 Å).

Cell and atoms:
a b c (Å): 8.4659 8.4659 4.2224
angles (deg): 90.00 90.00 90.00
Atoms (fractional coordinates):
1 Li 0.0000 0.0000 0.0000
2 Mg 0.0000 0.2433 0.5000
3 Mg 0.0000 0.5000 0.0000
4 Mg 0.0000 0.7567 0.5000
5 Mg 0.2433 0.0000 0.5000
6 Mg 0.2460 0.2460 0.0000
7 Mg 0.2460 0.7540 0.0000
8 Mg 0.2528 0.5000 0.5000
9 Mg 0.5000 0.0000 0.0000
10 Mg 0.5000 0.2528 0.5000
11 Mg 0.5000 0.7472 0.5000
12 Mg 0.7472 0.5000 0.5000
13 Mg 0.7540 0.2460 0.0000
14 Mg 0.7540 0.7540 0.0000
15 Mg 0.7567 0.0000 0.5000
16 C 0.5000 0.5000 0.0000
17 O 0.0000 0.0000 0.5000
18 O 0.0000 0.2622 0.0000
19 O 0.0000 0.5000 0.5000
20 O 0.0000 0.7378 0.0000
21 O 0.2517 0.2517 0.5000
22 O 0.2517 0.7483 0.5000
23 O 0.2622 0.0000 0.0000
24 O 0.2715 0.5000 0.0000
25 O 0.5000 0.0000 0.5000
26 O 0.5000 0.2715 0.0000
27 O 0.5000 0.5000 0.5000
28 O 0.5000 0.7285 0.0000
29 O 0.7285 0.5000 0.0000
30 O 0.7378 0.0000 0.0000
31 O 0.7483 0.2517 0.5000
32 O 0.7483 0.7483 0.5000

Top 10 peaks for 10° ≤ 2θ ≤ 90°, by angle:
- 21.01 deg, I 29
- 25.82 deg, I 28
- 29.88 deg, I 23
- 36.81 deg, I 106
- 42.72 deg, I 1000
- 42.84 deg, I 508
- 62.07 deg, I 823
- 74.34 deg, I 61
- 74.50 deg, I 28
- 78.31 deg, I 243

The following is a computed powder diffraction line list of Tb2Th2O5. It was derived from DFT lattice parameters and positions (PBE), using Cu Kα (λ = 1.5418 Å).

Cell and atoms:
a b c (Å): 4.2612 4.2612 10.6650
angles (deg): 90.00 90.00 90.00
Atoms (fractional coordinates):
1 Tb 0.0000 0.0000 0.0000
2 Tb 0.0000 0.0000 0.5000
3 Th 0.5000 0.5000 0.2096
4 Th 0.5000 0.5000 0.7904
5 O 0.0000 0.5000 0.1472
6 O 0.0000 0.5000 0.8528
7 O 0.5000 0.0000 0.1472
8 O 0.5000 0.0000 0.8528
9 O 0.5000 0.5000 0.0000

Top 10 peaks for 10° ≤ 2θ ≤ 90°, by angle:
- 25.05 deg, I 79
- 26.78 deg, I 1000
- 29.65 deg, I 411
- 32.81 deg, I 107
- 42.42 deg, I 252
- 45.42 deg, I 197
- 47.68 deg, I 99
- 50.88 deg, I 357
- 61.54 deg, I 113
- 83.85 deg, I 88

The following is a computed powder diffraction line list of Ho3Co. It was derived from DFT lattice parameters and positions (PBE), using Cu Kα (λ = 1.5418 Å).

Cell and atoms:
a b c (Å): 6.9058 9.3541 6.1949
angles (deg): 90.00 90.00 90.00
Atoms (fractional coordinates):
1 Ho 0.0415 0.2500 0.1404
2 Ho 0.1754 0.0674 0.6763
3 Ho 0.1754 0.4326 0.6763
4 Ho 0.3246 0.5674 0.1763
5 Ho 0.3246 0.9326 0.1763
6 Ho 0.4585 0.7500 0.6404
7 Ho 0.5415 0.2500 0.3596
8 Ho 0.6754 0.0674 0.8237
9 Ho 0.6754 0.4326 0.8237
10 Ho 0.8246 0.5674 0.3237
11 Ho 0.8246 0.9326 0.3237
12 Ho 0.9585 0.7500 0.8596
13 Co 0.1121 0.7500 0.4492
14 Co 0.3879 0.2500 0.9492
15 Co 0.6121 0.7500 0.0508
16 Co 0.8879 0.2500 0.5508

Top 10 peaks for 10° ≤ 2θ ≤ 90°, by angle:
- 31.16 deg, I 301
- 31.66 deg, I 287
- 32.17 deg, I 1000
- 33.11 deg, I 439
- 34.73 deg, I 338
- 35.41 deg, I 388
- 50.06 deg, I 176
- 58.02 deg, I 300
- 59.25 deg, I 218
- 61.37 deg, I 247

The following is a computed powder diffraction line list of Pm3Y. It was derived from DFT lattice parameters and positions (PBE), using Cu Kα (λ = 1.5418 Å).

Cell and atoms:
a b c (Å): 5.1401 5.1401 5.1401
angles (deg): 90.00 90.00 90.00
Atoms (fractional coordinates):
1 Pm 0.0000 0.0000 0.5000
2 Pm 0.0000 0.5000 0.0000
3 Pm 0.5000 0.0000 0.0000
4 Y 0.5000 0.5000 0.5000

Top 10 peaks for 10° ≤ 2θ ≤ 90°, by angle:
- 17.25 deg, I 30
- 24.49 deg, I 27
- 30.11 deg, I 1000
- 34.91 deg, I 505
- 50.20 deg, I 360
- 59.66 deg, I 427
- 62.60 deg, I 123
- 73.73 deg, I 57
- 81.65 deg, I 174
- 84.25 deg, I 162

The following is a computed powder diffraction line list of HoSeO3F. It was derived from DFT lattice parameters and positions (PBE), using Cu Kα (λ = 1.5418 Å).

Cell and atoms:
a b c (Å): 6.6399 6.9645 7.2407
angles (deg): 90.00 98.56 90.00
Atoms (fractional coordinates):
1 Ho 0.1399 0.1402 0.3238
2 Ho 0.1399 0.3598 0.8238
3 Ho 0.8601 0.6402 0.1762
4 Ho 0.8601 0.8598 0.6762
5 Se 0.3506 0.6186 0.2892
6 Se 0.3506 0.8814 0.7892
7 Se 0.6494 0.1186 0.2108
8 Se 0.6494 0.3814 0.7108
9 O 0.1733 0.0316 0.6479
10 O 0.1733 0.4684 0.1479
11 O 0.1742 0.6944 0.7799
12 O 0.1742 0.8056 0.2799
13 O 0.4853 0.1860 0.3602
14 O 0.4853 0.3140 0.8602
15 O 0.5147 0.6860 0.1398
16 O 0.5147 0.8140 0.6398
17 O 0.8258 0.1944 0.7201
18 O 0.8258 0.3056 0.2201
19 O 0.8267 0.5316 0.8521
20 O 0.8267 0.9684 0.3521
21 F 0.1677 0.1185 0.0251
22 F 0.1677 0.3815 0.5251
23 F 0.8323 0.6185 0.4749
24 F 0.8323 0.8815 0.9749

Top 10 peaks for 10° ≤ 2θ ≤ 90°, by angle:
- 13.49 deg, I 257
- 24.87 deg, I 453
- 26.53 deg, I 232
- 28.50 deg, I 1000
- 30.10 deg, I 650
- 31.01 deg, I 330
- 34.21 deg, I 271
- 49.97 deg, I 184
- 50.87 deg, I 214
- 52.58 deg, I 230